(1)
Structure and simulated PXRD pattern of La2Ge3O9 (a cell relaxed with PBE; Cu Ka).
Peak positions follow from Bragg's law for the DFT cell and can differ from measured ones.

Largest 10 diffraction maxima, in order of rising 2θ, 2θ from 10° to 80°:
2θ = 27.97°, rel. 35; 2θ = 28.18°, rel. 100; 2θ = 28.41°, rel. 85; 2θ = 28.59°, rel. 99; 2θ = 29.24°, rel. 72; 2θ = 30.83°, rel. 52; 2θ = 31.75°, rel. 91; 2θ = 44.55°, rel. 30; 2θ = 53.06°, rel. 30; 2θ = 53.47°, rel. 33

abc: 5.803 7.808 8.910
angles: 107.93 108.33 91.42
Fractional coordinates of all 28 atoms:
La: 0.134 0.200 0.219
La: 0.193 0.820 0.418
La: 0.807 0.180 0.582
La: 0.866 0.800 0.781
Ge: 0.237 0.512 0.001
Ge: 0.338 0.482 0.661
Ge: 0.427 0.073 0.854
Ge: 0.573 0.927 0.146
Ge: 0.662 0.518 0.339
Ge: 0.763 0.488 0.999
O: 0.012 0.676 0.045
O: 0.120 0.011 0.699
O: 0.129 0.513 0.776
O: 0.188 0.278 0.504
O: 0.291 0.995 0.001
O: 0.350 0.534 0.233
O: 0.390 0.676 0.614
O: 0.422 0.973 0.305
O: 0.469 0.327 0.954
O: 0.531 0.673 0.046
O: 0.578 0.027 0.695
O: 0.610 0.324 0.386
O: 0.650 0.466 0.767
O: 0.709 0.005 0.999
O: 0.812 0.722 0.496
O: 0.871 0.487 0.224
O: 0.880 0.989 0.301
O: 0.988 0.324 0.955

***

(2)
Structure and simulated PXRD pattern of LaGe3Os (a cell relaxed with PBE; Cu Ka).
Peak positions follow from Bragg's law for the DFT cell and can differ from measured ones.

Largest 10 diffraction maxima, in order of rising 2θ, 2θ from 10° to 80°:
2θ = 21.71°, rel. 45; 2θ = 28.24°, rel. 47; 2θ = 33.11°, rel. 100; 2θ = 33.36°, rel. 82; 2θ = 40.36°, rel. 89; 2θ = 45.73°, rel. 36; 2θ = 49.10°, rel. 26; 2θ = 53.16°, rel. 53; 2θ = 58.41°, rel. 30; 2θ = 62.00°, rel. 24

abc: 5.999 5.999 5.999
angles: 136.26 136.26 63.58
Fractional coordinates of all 5 atoms:
La: 0.000 0.000 0.000
Ge: 0.260 0.760 0.500
Ge: 0.423 0.423 0.000
Ge: 0.760 0.260 0.500
Os: 0.657 0.657 0.000